[1]
Diffraction record for ZnS. The powder diffractogram is computed, not measured: it uses a DFT-relaxed cell (GGA-PBE, the Materials Project) and a wavelength of 1.5418 Å.
Neutral-atom scattering factors, no anomalous dispersion.

Cell and atoms:
```
data_ZnS
_cell_length_a 25.253
_cell_length_b 25.253
_cell_length_c 25.253
_cell_angle_alpha 8.75
_cell_angle_beta 8.75
_cell_angle_gamma 8.75
_space_group_name_H-M_alt 'P 1'
_space_group_IT_number 1
loop_
_space_group_symop_operation_xyz
'x,y,z'
loop_
_atom_site_label
_atom_site_fract_x
_atom_site_fract_y
_atom_site_fract_z
Zn1 0.000 0.000 0.000
Zn2 0.083 0.083 0.083
Zn3 0.208 0.208 0.208
Zn4 0.292 0.292 0.292
Zn5 0.458 0.458 0.458
Zn6 0.583 0.583 0.583
Zn7 0.708 0.708 0.708
Zn8 0.833 0.833 0.833
S1 0.052 0.052 0.052
S2 0.177 0.177 0.177
S3 0.260 0.260 0.260
S4 0.427 0.427 0.427
S5 0.552 0.552 0.552
S6 0.677 0.677 0.677
S7 0.802 0.802 0.802
S8 0.969 0.969 0.969
```

The 8 most intense peaks (10° ≤ 2θ ≤ 90°), in order of falling intensity:
| d/Å | I (rel.) |
| --- | --- |
| 3.146 | 100 |
| 1.927 | 78 |
| 1.643 | 52 |
| 3.189 | 20 |
| 1.113 | 19 |
| 3.053 | 16 |
| 3.260 | 15 |
| 3.002 | 13 |

***

[2]
Diffraction record for ZnS. The powder diffractogram is computed, not measured: it uses a DFT-relaxed cell (GGA-PBE, the Materials Project) and a wavelength of 1.5418 Å.
Neutral-atom scattering factors, no anomalous dispersion.

Cell and atoms:
```
data_ZnS
_cell_length_a 3.854
_cell_length_b 3.854
_cell_length_c 56.689
_cell_angle_alpha 90.00
_cell_angle_beta 90.00
_cell_angle_gamma 120.00
_space_group_name_H-M_alt 'P 1'
_space_group_IT_number 1
loop_
_space_group_symop_operation_xyz
'x,y,z'
loop_
_atom_site_label
_atom_site_fract_x
_atom_site_fract_y
_atom_site_fract_z
Zn1 0.000 0.000 0.000
Zn2 0.000 0.000 0.111
Zn3 0.000 0.000 0.278
Zn4 0.000 0.000 0.389
Zn5 0.000 0.000 0.611
Zn6 0.000 0.000 0.833
Zn7 0.333 0.667 0.056
Zn8 0.333 0.667 0.222
Zn9 0.333 0.667 0.444
Zn10 0.333 0.667 0.556
Zn11 0.333 0.667 0.722
Zn12 0.333 0.667 0.889
Zn13 0.667 0.333 0.167
Zn14 0.667 0.333 0.333
Zn15 0.667 0.333 0.500
Zn16 0.667 0.333 0.667
Zn17 0.667 0.333 0.778
Zn18 0.667 0.333 0.944
S1 0.000 0.000 0.042
S2 0.000 0.000 0.153
S3 0.000 0.000 0.319
S4 0.000 0.000 0.431
S5 0.000 0.000 0.653
S6 0.000 0.000 0.875
S7 0.333 0.667 0.097
S8 0.333 0.667 0.264
S9 0.333 0.667 0.486
S10 0.333 0.667 0.597
S11 0.333 0.667 0.764
S12 0.333 0.667 0.931
S13 0.667 0.333 0.208
S14 0.667 0.333 0.375
S15 0.667 0.333 0.542
S16 0.667 0.333 0.708
S17 0.667 0.333 0.819
S18 0.667 0.333 0.986
```

The 8 most intense peaks (10° ≤ 2θ ≤ 90°), in order of falling intensity:
| d/Å | I (rel.) |
| --- | --- |
| 3.148 | 100 |
| 1.927 | 81 |
| 1.644 | 54 |
| 3.086 | 25 |
| 3.202 | 24 |
| 3.249 | 19 |
| 1.113 | 19 |
| 3.019 | 13 |

***

[3]
Diffraction record for ZnS. The powder diffractogram is computed, not measured: it uses a DFT-relaxed cell (GGA-PBE, the Materials Project) and a wavelength of 1.5418 Å.
Neutral-atom scattering factors, no anomalous dispersion.

Cell and atoms:
```
data_ZnS
_cell_length_a 3.854
_cell_length_b 3.854
_cell_length_c 56.689
_cell_angle_alpha 90.00
_cell_angle_beta 90.00
_cell_angle_gamma 120.00
_space_group_name_H-M_alt 'P 1'
_space_group_IT_number 1
loop_
_space_group_symop_operation_xyz
'x,y,z'
loop_
_atom_site_label
_atom_site_fract_x
_atom_site_fract_y
_atom_site_fract_z
Zn1 0.000 0.000 0.000
Zn2 0.000 0.000 0.111
Zn3 0.000 0.000 0.278
Zn4 0.000 0.000 0.389
Zn5 0.000 0.000 0.556
Zn6 0.000 0.000 0.722
Zn7 0.000 0.000 0.833
Zn8 0.333 0.667 0.056
Zn9 0.333 0.667 0.222
Zn10 0.333 0.667 0.444
Zn11 0.333 0.667 0.667
Zn12 0.333 0.667 0.889
Zn13 0.667 0.333 0.167
Zn14 0.667 0.333 0.333
Zn15 0.667 0.333 0.500
Zn16 0.667 0.333 0.611
Zn17 0.667 0.333 0.778
Zn18 0.667 0.333 0.944
S1 0.000 0.000 0.042
S2 0.000 0.000 0.153
S3 0.000 0.000 0.319
S4 0.000 0.000 0.431
S5 0.000 0.000 0.597
S6 0.000 0.000 0.764
S7 0.000 0.000 0.875
S8 0.333 0.667 0.097
S9 0.333 0.667 0.264
S10 0.333 0.667 0.486
S11 0.333 0.667 0.708
S12 0.333 0.667 0.931
S13 0.667 0.333 0.208
S14 0.667 0.333 0.375
S15 0.667 0.333 0.542
S16 0.667 0.333 0.653
S17 0.667 0.333 0.819
S18 0.667 0.333 0.986
```

The 8 most intense peaks (10° ≤ 2θ ≤ 90°), in order of falling intensity:
| d/Å | I (rel.) |
| --- | --- |
| 3.149 | 100 |
| 1.927 | 99 |
| 3.086 | 70 |
| 1.644 | 66 |
| 3.202 | 63 |
| 1.876 | 34 |
| 1.983 | 22 |
| 3.249 | 21 |

***

- Number 2 is which compound?
  ZnS